# 1
LiCo2Re: theoretical powder XRD pattern (CuKα), based on DFT lattice parameters and positions (GGA-PBE).
Lines closer than 0.1° are merged.

Most intense lines, 10° ≤ 2θ ≤ 90°, in order of falling intensity:
2θ (°)	I (rel.)	index
45.83	100	1 1 2
23.17	79	0 1 1
19.51	71	0 0 2
42.70	33	0 2 0
39.63	30	0 0 4
41.04	24	1 1 0
46.27	23	1 0 3
54.92	21	0 1 5

Crystal structure
Cell lengths 2.574, 4.235, 9.098 Å; angles 90.00, 90.00, 90.00 degrees
Space group Imm2 (No. 44)
Unique sites:
Li: 0.000 0.000 0.000 x2
Co: 0.000 0.000 0.515 x2
Co: 0.000 0.500 0.233 x2
Re: 0.000 0.500 0.788 x2



# 2
LiCo2Re: theoretical powder XRD pattern (CuKα), based on DFT lattice parameters and positions (GGA-PBE).
Lines closer than 0.1° are merged.

Most intense lines, 10° ≤ 2θ ≤ 90°, in order of falling intensity:
2θ (°)	I (rel.)	index
19.24	100	0 0 1
42.57	80	1 1 1
51.77	45	3 1 -1
27.71	42	2 0 -1
43.08	39	2 0 -2
37.00	38	1 1 0
44.41	35	4 0 0
30.67	30	2 0 1

Crystal structure
Cell lengths 8.200, 2.545, 4.636 Å; angles 90.00, 95.73, 90.00 degrees
Space group C2/m (No. 12)
Unique sites:
Li: 0.000 0.000 0.000 x2
Co: 0.249 0.000 0.748 x4
Re: 0.000 0.500 0.500 x2